Record 1
Simulated X-ray diffraction stick pattern
Compound: La14PmMg
Radiation: Cu Kα (λ = 1.5418 Å)
Structure: a crystal structure in Alexandria, relaxed with GGA-PBE

```
La14PmMg
1.0
10.514 0.000 0.000
0.000 5.206 5.205
0.000 -5.206 5.205
La Pm Mg
14 1 1
Direct
0.000 0.000 0.000
0.000 0.000 0.500
0.000 0.499 0.499
0.000 0.500 0.000
0.253 0.247 0.753
0.253 0.753 0.247
0.253 0.753 0.753
0.254 0.247 0.247
0.500 0.500 0.999
0.500 0.999 0.500
0.746 0.247 0.247
0.747 0.247 0.753
0.747 0.753 0.247
0.747 0.753 0.753
0.500 0.500 0.500
0.500 0.000 0.000
```

Top 10 peaks for 2θ from 5° to 70°, most intense first:
2θ/deg, I (rel.)
29.63, 100
34.46, 33
58.78, 28
49.27, 24
34.11, 17
58.32, 15
61.51, 12
49.53, 12
14.69, 2
20.76, 1



Record 2
Simulated X-ray diffraction stick pattern
Compound: Na2GaP2Pd5
Radiation: Cu Kα (λ = 1.5418 Å)
Structure: a crystal structure in Alexandria, relaxed with GGA-PBE

```
Na2GaP2Pd5
1.0
10.218 0.000 0.000
0.000 10.218 0.000
0.000 0.000 3.144
Na Ga P Pd
4 2 4 10
Direct
0.174 0.326 0.000
0.326 0.826 0.000
0.674 0.174 0.000
0.826 0.674 0.000
0.000 0.000 0.000
0.500 0.500 0.000
0.130 0.630 0.000
0.370 0.130 0.000
0.630 0.870 0.000
0.870 0.370 0.000
0.000 0.500 0.500
0.062 0.798 0.500
0.202 0.062 0.500
0.298 0.562 0.500
0.438 0.298 0.500
0.500 0.000 0.500
0.562 0.702 0.500
0.702 0.438 0.500
0.798 0.938 0.500
0.938 0.202 0.500
```

Top 10 peaks for 2θ from 5° to 70°, most intense first:
2θ/deg, I (rel.)
40.01, 100
36.25, 50
42.97, 38
19.42, 30
28.39, 30
46.67, 29
17.36, 24
37.94, 24
39.44, 24
31.57, 19



Record 3
Simulated X-ray diffraction stick pattern
Compound: Ag3HgI3
Radiation: Cu Kα (λ = 1.5418 Å)
Structure: a crystal structure in Alexandria, relaxed with GGA-PBE

```
Ag3HgI3
1.0
7.902 0.000 0.000
-3.892 6.885 0.000
-1.455 -2.282 10.298
Ag Hg I
6 2 6
Direct
0.027 0.360 0.079
0.298 0.300 0.914
0.361 0.025 0.080
0.639 0.975 0.920
0.702 0.700 0.086
0.973 0.640 0.921
0.217 0.201 0.496
0.783 0.799 0.504
0.076 0.736 0.203
0.260 0.928 0.798
0.405 0.401 0.196
0.595 0.599 0.804
0.740 0.072 0.202
0.924 0.264 0.797
```

Top 10 peaks for 2θ from 5° to 70°, most intense first:
2θ/deg, I (rel.)
8.59, 100
39.28, 91
22.69, 69
25.97, 52
30.19, 48
39.60, 46
36.77, 42
25.10, 38
12.97, 31
44.31, 31



- Which formula does entry 2 have?
  Na2GaP2Pd5